Diffraction record for Ca3C3Cl2. The powder diffractogram is calculated, not measured: it uses the PBE geometry in the Materials Project and Cu Kα (λ = 1.5418 Å).
Lines closer than 0.1° are merged.

Structural model:
a = 7.026 Å, b = 7.026 Å, c = 11.567 Å
α = 90.00°, β = 90.00°, γ = 148.11°
Fractional positions:
Ca 0.121 0.879 0.750
Ca 0.343 0.657 0.561
Ca 0.343 0.657 0.939
Ca 0.657 0.343 0.061
Ca 0.657 0.343 0.439
Ca 0.879 0.121 0.250
C 0.258 0.742 0.250
C 0.267 0.733 0.135
C 0.267 0.733 0.365
C 0.733 0.267 0.635
C 0.733 0.267 0.865
C 0.742 0.258 0.750
Cl 0.000 0.000 0.000
Cl 0.000 0.000 0.500
Cl 0.471 0.529 0.750
Cl 0.529 0.471 0.250

Largest 10 diffraction maxima, by angle, 10° ≤ 2θ ≤ 90°:
- 2θ = 26.62°, d = 3.349 Å, I 43
- 2θ = 30.50°, d = 2.931 Å, I 15
- 2θ = 30.92°, d = 2.892 Å, I 17
- 2θ = 31.49°, d = 2.841 Å, I 39
- 2θ = 33.71°, d = 2.658 Å, I 14
- 2θ = 34.30°, d = 2.615 Å, I 100
- 2θ = 43.78°, d = 2.068 Å, I 13
- 2θ = 46.24°, d = 1.963 Å, I 21
- 2θ = 47.09°, d = 1.930 Å, I 25
- 2θ = 54.91°, d = 1.672 Å, I 14